[1]
Calculated X-ray powder pattern
Compound: Pm2AlAg5
Radiation: CuKα
Structure: a cell relaxed with GGA-PBE
Intensities are scaled so that the largest is 100.

Top 10 peaks for 10° ≤ 2θ ≤ 90°, by angle:
d/Å, 2θ (°), I/Imax
3.863, 23.0, 14
3.300, 27.0, 15
2.840, 31.5, 10
2.659, 33.7, 100
2.433, 36.9, 24
2.245, 40.2, 32
1.650, 55.7, 24
1.445, 64.5, 14
1.363, 68.9, 16
1.330, 70.9, 9

Structure:
a b c (Å): 6.351 6.351 4.866
angles (deg): 90.00 90.00 90.00
Sites, in units of the cell vectors:
Pm  0.000  0.500  0.000
Pm  0.500  0.000  0.000
Al  0.000  0.000  0.500
Ag  0.000  0.000  0.000
Ag  0.284  0.284  0.500
Ag  0.284  0.716  0.500
Ag  0.716  0.284  0.500
Ag  0.716  0.716  0.500



[2]
Calculated X-ray powder pattern
Compound: Pm2AlAg6
Radiation: CuKα
Structure: a cell relaxed with GGA-PBE
Intensities are scaled so that the largest is 100.

Top 10 peaks for 10° ≤ 2θ ≤ 90°, by angle:
d/Å, 2θ (°), I/Imax
3.007, 29.7, 13
2.714, 33.0, 23
2.634, 34.0, 25
2.612, 34.3, 42
2.413, 37.3, 100
1.982, 45.8, 12
1.674, 54.8, 13
1.660, 55.3, 15
1.521, 60.9, 20
1.287, 73.6, 12

Structure:
a b c (Å): 6.084 6.084 6.014
angles (deg): 90.00 90.00 120.00
Sites, in units of the cell vectors:
Pm  0.333  0.667  0.149
Pm  0.667  0.333  0.851
Al  0.000  0.000  0.000
Ag  0.176  0.353  0.678
Ag  0.176  0.824  0.678
Ag  0.353  0.176  0.322
Ag  0.647  0.824  0.678
Ag  0.824  0.176  0.322
Ag  0.824  0.647  0.322



[3]
Calculated X-ray powder pattern
Compound: PmAlAg
Radiation: CuKα
Structure: a cell relaxed with GGA-PBE
Intensities are scaled so that the largest is 100.

Top 10 peaks for 10° ≤ 2θ ≤ 90°, by angle:
d/Å, 2θ (°), I/Imax
4.054, 21.9, 30
2.727, 32.8, 100
2.340, 38.5, 51
1.843, 49.5, 8
1.776, 51.5, 28
1.448, 64.3, 22
1.415, 66.0, 26
1.351, 69.6, 9
1.176, 82.0, 7
1.170, 82.4, 5

Structure:
a b c (Å): 4.681 4.681 3.685
angles (deg): 90.00 90.00 120.00
Sites, in units of the cell vectors:
Pm  0.000  0.000  0.000
Al  0.667  0.333  0.500
Ag  0.333  0.667  0.500



[4]
Calculated X-ray powder pattern
Compound: PmAl4Ag2
Radiation: CuKα
Structure: a cell relaxed with GGA-PBE
Intensities are scaled so that the largest is 100.

Top 10 peaks for 10° ≤ 2θ ≤ 90°, by angle:
d/Å, 2θ (°), I/Imax
5.760, 15.4, 34
3.354, 26.6, 43
2.880, 31.1, 47
2.731, 32.8, 100
2.268, 39.7, 35
2.185, 41.3, 40
2.063, 43.9, 24
1.976, 45.9, 22
1.515, 61.2, 20
1.420, 65.8, 25

Structure:
a b c (Å): 8.145 8.145 4.126
angles (deg): 90.00 90.00 90.00
Sites, in units of the cell vectors:
Pm  0.000  0.000  0.000
Pm  0.500  0.500  0.500
Al  0.085  0.340  0.500
Al  0.160  0.585  0.000
Al  0.340  0.085  0.500
Al  0.415  0.840  0.000
Al  0.585  0.160  0.000
Al  0.660  0.915  0.500
Al  0.840  0.415  0.000
Al  0.915  0.660  0.500
Ag  0.209  0.791  0.500
Ag  0.291  0.291  0.000
Ag  0.709  0.709  0.000
Ag  0.791  0.209  0.500



[5]
Calculated X-ray powder pattern
Compound: Pm2Al5Ag5
Radiation: CuKα
Structure: a cell relaxed with GGA-PBE
Intensities are scaled so that the largest is 100.

Top 10 peaks for 10° ≤ 2θ ≤ 90°, by angle:
d/Å, 2θ (°), I/Imax
4.456, 19.9, 41
3.258, 27.4, 16
2.779, 32.2, 37
2.747, 32.6, 30
2.358, 38.2, 100
2.338, 38.5, 32
2.228, 40.5, 27
1.738, 52.7, 18
1.730, 52.9, 15
1.499, 61.9, 23

Structure:
a b c (Å): 4.456 5.494 9.663
angles (deg): 90.00 90.00 90.00
Sites, in units of the cell vectors:
Pm  0.000  0.000  0.000
Pm  0.000  0.500  0.500
Al  0.500  0.000  0.500
Al  0.500  0.248  0.245
Al  0.500  0.248  0.755
Al  0.500  0.752  0.245
Al  0.500  0.752  0.755
Ag  0.000  0.000  0.335
Ag  0.000  0.000  0.665
Ag  0.000  0.500  0.180
Ag  0.000  0.500  0.820
Ag  0.500  0.500  0.000



[6]
Calculated X-ray powder pattern
Compound: Pm2Al7Ag
Radiation: CuKα
Structure: a cell relaxed with GGA-PBE
Intensities are scaled so that the largest is 100.

Top 10 peaks for 10° ≤ 2θ ≤ 90°, by angle:
d/Å, 2θ (°), I/Imax
3.997, 22.2, 57
2.813, 31.8, 59
2.800, 32.0, 17
2.662, 33.7, 100
2.139, 42.2, 37
1.984, 45.7, 27
1.703, 53.8, 26
1.588, 58.1, 15
1.455, 64.0, 19
1.315, 71.8, 22

Structure:
a b c (Å): 4.278 4.278 11.198
angles (deg): 90.00 90.00 90.00
Sites, in units of the cell vectors:
Pm  0.000  0.500  0.247
Pm  0.500  0.000  0.753
Al  0.000  0.000  0.000
Al  0.000  0.500  0.637
Al  0.000  0.500  0.861
Al  0.500  0.000  0.139
Al  0.500  0.000  0.363
Al  0.500  0.500  0.000
Al  0.500  0.500  0.500
Ag  0.000  0.000  0.500



[7]
Calculated X-ray powder pattern
Compound: PmAl4Ag8
Radiation: CuKα
Structure: a cell relaxed with GGA-PBE
Intensities are scaled so that the largest is 100.

Top 10 peaks for 10° ≤ 2θ ≤ 90°, by angle:
d/Å, 2θ (°), I/Imax
4.690, 18.9, 11
3.315, 26.9, 19
2.704, 33.1, 37
2.692, 33.3, 33
2.343, 38.4, 100
2.335, 38.6, 17
2.096, 43.2, 21
2.090, 43.3, 20
1.477, 62.9, 17
1.353, 69.5, 31

Structure:
a b c (Å): 7.159 7.159 7.159
angles (deg): 98.13 98.13 135.82
Sites, in units of the cell vectors:
Pm  0.000  0.000  0.000
Al  0.000  0.000  0.500
Al  0.000  0.500  0.000
Al  0.500  0.000  0.000
Al  0.500  0.500  0.500
Ag  0.000  0.344  0.344
Ag  0.000  0.656  0.656
Ag  0.283  0.500  0.783
Ag  0.344  0.000  0.344
Ag  0.500  0.283  0.783
Ag  0.500  0.717  0.217
Ag  0.656  0.000  0.656
Ag  0.717  0.500  0.217



[8]
Calculated X-ray powder pattern
Compound: PmAlAg2S4
Radiation: CuKα
Structure: a cell relaxed with GGA-PBE
Intensities are scaled so that the largest is 100.

Top 10 peaks for 10° ≤ 2θ ≤ 90°, by angle:
d/Å, 2θ (°), I/Imax
3.246, 27.5, 43
3.101, 28.8, 39
2.826, 31.7, 100
2.606, 34.4, 43
1.998, 45.4, 32
1.983, 45.8, 18
1.915, 47.5, 31
1.855, 49.1, 13
1.622, 56.7, 22
1.551, 59.6, 13

Structure:
a b c (Å): 7.694 7.694 7.446
angles (deg): 116.22 116.22 94.49
Sites, in units of the cell vectors:
Pm  0.000  0.500  0.000
Pm  0.500  0.000  0.500
Al  0.000  0.000  0.000
Al  0.000  0.000  0.500
Ag  0.000  0.500  0.500
Ag  0.500  0.000  0.000
Ag  0.500  0.500  0.000
Ag  0.500  0.500  0.500
S  0.206  0.773  0.496
S  0.221  0.222  0.927
S  0.222  0.221  0.427
S  0.227  0.794  0.004
S  0.773  0.206  0.996
S  0.778  0.779  0.573
S  0.779  0.778  0.073
S  0.794  0.227  0.504



[9]
Calculated X-ray powder pattern
Compound: Pr12AlAg6
Radiation: CuKα
Structure: a cell relaxed with GGA-PBE
Intensities are scaled so that the largest is 100.

Top 10 peaks for 10° ≤ 2θ ≤ 90°, by angle:
d/Å, 2θ (°), I/Imax
3.609, 24.7, 21
3.439, 25.9, 16
2.813, 31.8, 41
2.727, 32.8, 36
2.686, 33.4, 100
2.614, 34.3, 72
2.561, 35.0, 40
2.459, 36.5, 17
2.305, 39.1, 18
1.501, 61.8, 21

Structure:
a b c (Å): 8.190 8.190 8.190
angles (deg): 87.98 87.98 87.98
Sites, in units of the cell vectors:
Pr  0.038  0.949  0.306
Pr  0.051  0.694  0.962
Pr  0.136  0.492  0.354
Pr  0.306  0.038  0.949
Pr  0.354  0.136  0.492
Pr  0.492  0.354  0.136
Pr  0.508  0.646  0.864
Pr  0.646  0.864  0.508
Pr  0.694  0.962  0.051
Pr  0.864  0.508  0.646
Pr  0.949  0.306  0.038
Pr  0.962  0.051  0.694
Al  0.500  0.500  0.500
Ag  0.242  0.395  0.755
Ag  0.245  0.758  0.605
Ag  0.395  0.755  0.242
Ag  0.605  0.245  0.758
Ag  0.755  0.242  0.395
Ag  0.758  0.605  0.245



[10]
Calculated X-ray powder pattern
Compound: Pr6AlAg5
Radiation: CuKα
Structure: a cell relaxed with GGA-PBE
Intensities are scaled so that the largest is 100.

Top 10 peaks for 10° ≤ 2θ ≤ 90°, by angle:
d/Å, 2θ (°), I/Imax
2.679, 33.4, 100
2.670, 33.6, 49
1.901, 47.9, 9
1.888, 48.2, 17
1.549, 59.7, 18
1.543, 59.9, 36
1.340, 70.3, 11
1.201, 79.8, 8
1.194, 80.4, 9
1.092, 89.8, 6

Structure:
a b c (Å): 5.337 7.604 8.444
angles (deg): 90.00 108.36 90.00
Sites, in units of the cell vectors:
Pr  0.000  0.248  0.000
Pr  0.000  0.752  0.000
Pr  0.334  0.252  0.666
Pr  0.334  0.748  0.666
Pr  0.666  0.252  0.334
Pr  0.666  0.748  0.334
Al  0.500  0.500  0.000
Ag  0.158  0.500  0.320
Ag  0.166  0.000  0.335
Ag  0.500  0.000  0.000
Ag  0.834  0.000  0.665
Ag  0.842  0.500  0.680



[11]
Calculated X-ray powder pattern
Compound: Pr4Al12Ag
Radiation: CuKα
Structure: a cell relaxed with GGA-PBE
Intensities are scaled so that the largest is 100.

Top 10 peaks for 10° ≤ 2θ ≤ 90°, by angle:
d/Å, 2θ (°), I/Imax
4.459, 19.9, 36
3.153, 28.3, 100
2.574, 34.9, 60
2.229, 40.5, 50
1.994, 45.5, 22
1.820, 50.1, 36
1.576, 58.6, 30
1.410, 66.3, 22
1.344, 70.0, 19
1.192, 80.6, 22

Structure:
a b c (Å): 7.723 7.723 7.723
angles (deg): 109.47 109.47 109.47
Sites, in units of the cell vectors:
Pr  0.000  0.000  0.500
Pr  0.000  0.500  0.000
Pr  0.500  0.000  0.000
Pr  0.500  0.500  0.500
Al  0.000  0.305  0.305
Al  0.000  0.695  0.695
Al  0.250  0.500  0.750
Al  0.250  0.750  0.500
Al  0.305  0.000  0.305
Al  0.305  0.305  0.000
Al  0.500  0.250  0.750
Al  0.500  0.750  0.250
Al  0.695  0.000  0.695
Al  0.695  0.695  0.000
Al  0.750  0.250  0.500
Al  0.750  0.500  0.250
Ag  0.000  0.000  0.000



[12]
Calculated X-ray powder pattern
Compound: Pr2Al2Ag3
Radiation: CuKα
Structure: a cell relaxed with GGA-PBE
Intensities are scaled so that the largest is 100.

Top 10 peaks for 10° ≤ 2θ ≤ 90°, by angle:
d/Å, 2θ (°), I/Imax
3.042, 29.4, 19
2.788, 32.1, 89
2.751, 32.6, 100
2.508, 35.8, 15
2.205, 40.9, 33
2.193, 41.2, 25
2.008, 45.1, 23
1.748, 52.3, 15
1.555, 59.4, 17
1.312, 71.9, 16

Structure:
a b c (Å): 10.273 10.273 7.316
angles (deg): 90.00 90.00 155.21
Sites, in units of the cell vectors:
Pr  0.059  0.941  0.750
Pr  0.155  0.845  0.250
Pr  0.845  0.155  0.750
Pr  0.941  0.059  0.250
Al  0.306  0.694  0.059
Al  0.306  0.694  0.441
Al  0.694  0.306  0.559
Al  0.694  0.306  0.941
Ag  0.224  0.776  0.750
Ag  0.436  0.564  0.558
Ag  0.436  0.564  0.942
Ag  0.564  0.436  0.058
Ag  0.564  0.436  0.442
Ag  0.776  0.224  0.250



Please write out number 11 again, unchanged.
Calculated X-ray powder pattern
Compound: Pr4Al12Ag
Radiation: CuKα
Structure: a cell relaxed with GGA-PBE
Intensities are scaled so that the largest is 100.

Top 10 peaks for 10° ≤ 2θ ≤ 90°, by angle:
d/Å, 2θ (°), I/Imax
4.459, 19.9, 36
3.153, 28.3, 100
2.574, 34.9, 60
2.229, 40.5, 50
1.994, 45.5, 22
1.820, 50.1, 36
1.576, 58.6, 30
1.410, 66.3, 22
1.344, 70.0, 19
1.192, 80.6, 22

Structure:
a b c (Å): 7.723 7.723 7.723
angles (deg): 109.47 109.47 109.47
Sites, in units of the cell vectors:
Pr  0.000  0.000  0.500
Pr  0.000  0.500  0.000
Pr  0.500  0.000  0.000
Pr  0.500  0.500  0.500
Al  0.000  0.305  0.305
Al  0.000  0.695  0.695
Al  0.250  0.500  0.750
Al  0.250  0.750  0.500
Al  0.305  0.000  0.305
Al  0.305  0.305  0.000
Al  0.500  0.250  0.750
Al  0.500  0.750  0.250
Al  0.695  0.000  0.695
Al  0.695  0.695  0.000
Al  0.750  0.250  0.500
Al  0.750  0.500  0.250
Ag  0.000  0.000  0.000



Question: What is the formula in the first record?
Answer: Pm2AlAg5